Simulated X-ray powder pattern of CeY3Ru4 for a wavelength of 1.5418 Å, from a cell relaxed with GGA-PBE.
Neutral-atom scattering factors, no anomalous dispersion.

Structural model:
abc: 5.9203 5.9203 5.9203
angles: 109.47 109.47 109.47
Fractional coordinates of all 8 atoms:
Ce (0.0000, 0.0000, 0.0000)
Y (0.0000, 0.5000, 0.5000)
Y (0.5000, 0.0000, 0.5000)
Y (0.5000, 0.5000, 0.0000)
Ru (0.0000, 0.0000, 0.5000)
Ru (0.0000, 0.5000, 0.0000)
Ru (0.5000, 0.0000, 0.0000)
Ru (0.5000, 0.5000, 0.5000)

The 7 most intense peaks (5 to 70 degrees two-theta), sorted by position:
18.4 deg, I = 2; 32.1 deg, I = 1; 37.2 deg, I = 100; 41.8 deg, I = 1; 49.9 deg, I = 1; 53.6 deg, I = 17; 67.1 deg, I = 34